# 1
Structure and simulated XRD peak list of Hf2Al3 (a PBE-relaxed structure; copper Kα).
Lines closer than 0.1° are merged.

Most intense lines, 2θ = 10–80°, in order of rising 2θ:
2θ 19.6, rel. 38
2θ 22.6, rel. 39
2θ 26.9, rel. 59
2θ 32.0, rel. 39
2θ 33.1, rel. 57
2θ 35.0, rel. 40
2θ 37.6, rel. 100
2θ 38.0, rel. 28
2θ 39.9, rel. 57
2θ 57.6, rel. 28

Unit cell a=9.548 b=13.821 c=5.530 alpha=90.00 beta=90.00 gamma=90.00
Space group Fdd2 (No. 43)
Asymmetric unit:
Hf1 0.065 0.197 0.000 (multiplicity 16)
Al1 0.000 0.000 0.131 (multiplicity 8)
Al2 0.068 0.114 0.509 (multiplicity 16)

***

# 2
Structure and simulated XRD peak list of Kr (a PBE-relaxed structure; copper Kα).
Lines closer than 0.1° are merged.

Most intense lines, 2θ = 10–80°, in order of rising 2θ:
2θ 22.9, rel. 36
2θ 24.0, rel. 52
2θ 25.1, rel. 100
2θ 26.4, rel. 88
2θ 39.9, rel. 40
2θ 42.2, rel. 24
2θ 44.6, rel. 20
2θ 47.1, rel. 49
2θ 47.7, rel. 17
2θ 65.2, rel. 18

Unit cell a=4.5205 b=4.5205 c=33.3080 alpha=90.00 beta=90.00 gamma=120.00
Space group R-3m (No. 166, hexagonal axes)
Asymmetric unit:
Kr1 0.0000 0.0000 0.0000 (multiplicity 3)
Kr2 0.0000 0.0000 0.2222 (multiplicity 6)

***

# 3
Structure and simulated XRD peak list of Ta11Al4 (a PBE-relaxed structure; copper Kα).
Lines closer than 0.1° are merged.

Most intense lines, 2θ = 10–80°, in order of rising 2θ:
2θ 19.2, rel. 31
2θ 36.7, rel. 45
2θ 36.8, rel. 36
2θ 37.0, rel. 30
2θ 37.8, rel. 36
2θ 38.9, rel. 58
2θ 39.9, rel. 100
2θ 40.8, rel. 61
2θ 41.0, rel. 32
2θ 41.7, rel. 24

Unit cell a=10.031 b=5.219 c=10.093 alpha=90.00 beta=90.39 gamma=90.00
Space group P2/m (No. 10)
Asymmetric unit:
Ta1 0.035 0.000 0.126 (multiplicity 2)
Ta2 0.102 0.000 0.398 (multiplicity 2)
Ta3 0.129 0.500 0.964 (multiplicity 2)
Ta4 0.182 0.250 0.684 (multiplicity 4)
Ta5 0.258 0.500 0.434 (multiplicity 2)
Ta6 0.318 0.254 0.179 (multiplicity 4)
Ta7 0.371 0.000 0.464 (multiplicity 2)
Ta8 0.397 0.500 0.897 (multiplicity 2)
Ta9 0.464 0.500 0.630 (multiplicity 2)
Al1 0.000 0.500 0.500 (multiplicity 1)
Al2 0.066 0.500 0.236 (multiplicity 2)
Al3 0.237 0.000 0.934 (multiplicity 2)
Al4 0.433 0.000 0.739 (multiplicity 2)
Al5 0.500 0.000 0.000 (multiplicity 1)

***

# 4
Structure and simulated XRD peak list of PbI2 (a PBE-relaxed structure; copper Kα).
Lines closer than 0.1° are merged.

Most intense lines, 2θ = 10–80°, in order of rising 2θ:
2θ 11.9, rel. 69
2θ 23.4, rel. 25
2θ 25.1, rel. 100
2θ 27.3, rel. 44
2θ 29.9, rel. 43
2θ 32.7, rel. 36
2θ 35.9, rel. 26
2θ 38.6, rel. 66
2θ 42.8, rel. 23
2θ 64.1, rel. 30

Unit cell a=4.6613 b=4.6613 c=22.3047 alpha=90.00 beta=90.00 gamma=120.00
Space group P3m1 (No. 156)
Asymmetric unit:
Pb1 0.0000 0.0000 0.0000 (multiplicity 1)
Pb2 0.0000 0.0000 0.3337 (multiplicity 1)
Pb3 0.6667 0.3333 0.6662 (multiplicity 1)
I1 0.0000 0.0000 0.5820 (multiplicity 1)
I2 0.3333 0.6667 0.0843 (multiplicity 1)
I3 0.3333 0.6667 0.4178 (multiplicity 1)
I4 0.3333 0.6667 0.7504 (multiplicity 1)
I5 0.6667 0.3333 0.2495 (multiplicity 1)
I6 0.6667 0.3333 0.9158 (multiplicity 1)

***

# 5
Structure and simulated XRD peak list of Sm2InAu2 (a PBE-relaxed structure; copper Kα).
Lines closer than 0.1° are merged.

Most intense lines, 2θ = 10–80°, in order of rising 2θ:
2θ 15.4, rel. 13
2θ 32.2, rel. 18
2θ 34.1, rel. 100
2θ 34.8, rel. 39
2θ 39.9, rel. 12
2θ 46.8, rel. 10
2θ 47.9, rel. 13
2θ 60.5, rel. 16
2θ 63.1, rel. 11
2θ 66.5, rel. 13

Unit cell a=8.147 b=8.147 c=3.801 alpha=90.00 beta=90.00 gamma=90.00
Space group P4/mbm (No. 127)
Asymmetric unit:
Sm1 0.173 0.327 0.000 (multiplicity 4)
In1 0.000 0.000 0.500 (multiplicity 2)
Au1 0.126 0.626 0.500 (multiplicity 4)